For NdHoEr2In2, a DFT-relaxed cell (PBE, OQMD) gives the calculated powder XRD pattern in this record (Cu Kα (weighted mean of Kα1 and Kα2)).
No peak broadening, texture or thermal motion is included.

Main lines, sorted by position (2θ = 10–80°):
| 2θ/deg | intensity | h k l |
| --- | --- | --- |
| 32.7 | 99 | 1 0 2 |
| 33.2 | 100 | 1 1 0 |
| 42.9 | 6 | 1 1 2 |
| 47.3 | 35 | 2 0 2 |
| 54.4 | 8 | 0 0 4 |
| 59.0 | 36 | 2 1 2 |
| 59.3 | 19 | 3 0 0 |
| 65.2 | 28 | 1 1 4 |
| 69.6 | 12 | 2 2 0 |
| 79.1 | 16 | 3 1 2 |

Crystal structure
a b c (Å): 5.4000 5.4000 6.7507
angles (deg): 90.00 90.00 120.00
Space group P-6m2 (No. 187)
Symmetry-distinct sites (fractional):
Nd  0.0000  0.0000  0.0000 x1
Ho  0.3333  0.6667  0.5000 x1
Er  0.6667  0.3333  0.2550 x2
In  0.0000  0.0000  0.5000 x1
In  0.3333  0.6667  0.0000 x1